Entry 1:
Structure and theoretical XRD peak list of Nd3Er2Tm7 (a GGA-PBE-relaxed structure; copper Kα).
Kinematic intensities with the Lorentz-polarization factor, no thermal factor.

Largest 10 diffraction maxima, sorted by position, 2θ = 15–90°:
2θ/deg	d/Å	I_rel	h k l
28.74	3.106	26	0 0 6
30.90	2.894	30	1 1 -2
31.04	2.881	27	2 0 0
31.16	2.870	34	2 0 -1
31.42	2.847	100	1 1 2
31.74	2.819	29	0 1 4
32.01	2.796	48	1 0 -6
33.49	2.676	27	1 0 6
34.98	2.565	39	1 1 -4
54.83	1.674	26	3 0 -6

```
Nd3Er2Tm7
1.0
5.7700 0.0000 0.0000
0.0000 3.5412 0.0000
-0.9848 0.0000 18.6389
Nd Er Tm
3 2 7
Direct
0.0000 0.0000 0.0000 Nd
0.2771 0.5000 0.6332 Nd
0.7229 0.5000 0.3668 Nd
0.2105 0.0000 0.2913 Er
0.7895 0.0000 0.7087 Er
0.1914 0.5000 0.1434 Tm
0.2428 0.0000 0.4617 Tm
0.3059 0.0000 0.8249 Tm
0.5000 0.5000 0.0000 Tm
0.6941 0.0000 0.1751 Tm
0.7572 0.0000 0.5383 Tm
0.8086 0.5000 0.8566 Tm
```

Entry 2:
Structure and theoretical XRD peak list of Nd3Er7Tm2 (a GGA-PBE-relaxed structure; copper Kα).
Kinematic intensities with the Lorentz-polarization factor, no thermal factor.

Largest 10 diffraction maxima, sorted by position, 2θ = 15–90°:
2θ/deg	d/Å	I_rel	h k l
28.69	3.111	27	0 0 6
30.89	2.895	58	2 0 0
31.06	2.880	35	2 0 -1
31.36	2.853	100	1 1 2
31.69	2.823	30	0 1 4
31.94	2.802	48	1 0 -6
33.43	2.680	35	1 0 6
34.92	2.570	40	1 1 -4
54.63	1.680	25	3 1 1
61.95	1.498	24	1 2 -6

```
Nd3Er7Tm2
1.0
5.7898 0.0000 0.0000
0.0000 3.5460 0.0000
-0.9803 0.0000 18.6663
Nd Er Tm
3 7 2
Direct
0.0000 0.0000 0.0000 Nd
0.2780 0.5000 0.6335 Nd
0.7220 0.5000 0.3665 Nd
0.1907 0.5000 0.1439 Er
0.2429 0.0000 0.4621 Er
0.3066 0.0000 0.8239 Er
0.5000 0.5000 0.0000 Er
0.6934 0.0000 0.1761 Er
0.7571 0.0000 0.5379 Er
0.8093 0.5000 0.8561 Er
0.2102 0.0000 0.2919 Tm
0.7898 0.0000 0.7081 Tm
```